Entry 1:
Simulated powder diffraction line list of CeTh6Co3 for λ = 1.5418 Å (Cu Kα), from a cell relaxed with PBE.
Lines closer than 0.1° are merged.

Peak list (12 most intense, 2θ from 10° to 90°, most intense first)
2θ/deg	I/Imax
32.7	100
28.9	34
31.6	31
30.6	20
23.9	13
35.2	13
42.6	12
40.6	12
27.0	12
62.0	11
29.3	11
53.6	11

abc: 8.504 8.504 7.155
angles: 90.00 90.00 93.16
Fractional coordinates of all 20 atoms:
Ce (0.245, 0.755, 0.500)
Ce (0.755, 0.245, 0.000)
Th (0.018, 0.487, 0.798)
Th (0.182, 0.199, 0.064)
Th (0.190, 0.810, 0.001)
Th (0.199, 0.182, 0.564)
Th (0.470, 0.530, 0.867)
Th (0.487, 0.018, 0.298)
Th (0.513, 0.982, 0.798)
Th (0.530, 0.470, 0.367)
Th (0.801, 0.818, 0.064)
Th (0.810, 0.190, 0.501)
Th (0.818, 0.801, 0.564)
Th (0.982, 0.513, 0.298)
Co (0.076, 0.924, 0.315)
Co (0.260, 0.513, 0.167)
Co (0.487, 0.740, 0.167)
Co (0.513, 0.260, 0.667)
Co (0.740, 0.487, 0.667)
Co (0.924, 0.076, 0.815)

***

Entry 2:
Simulated powder diffraction line list of Ce2TlCo for λ = 1.5418 Å (Cu Kα), from a cell relaxed with PBE.
Lines closer than 0.1° are merged.

Peak list (12 most intense, 2θ from 10° to 90°, most intense first)
2θ/deg	I/Imax
33.1	100
30.5	62
40.4	47
37.5	42
32.2	20
39.7	17
41.8	15
64.8	14
62.7	14
27.8	13
50.3	12
61.6	12

abc: 6.957 6.957 6.957
angles: 139.65 74.11 120.77
Fractional coordinates of all 8 atoms:
Ce (0.110, 0.250, 0.360)
Ce (0.578, 0.018, 0.060)
Ce (0.890, 0.750, 0.640)
Ce (0.957, 0.518, 0.940)
Tl (0.382, 0.229, 0.652)
Tl (0.577, 0.729, 0.348)
Co (0.114, 0.447, 0.167)
Co (0.280, 0.947, 0.833)

***

What did the first record say?
Simulated powder diffraction line list of CeTh6Co3 for λ = 1.5418 Å (Cu Kα), from a cell relaxed with PBE.
Lines closer than 0.1° are merged.

Peak list (12 most intense, 2θ from 10° to 90°, most intense first)
2θ/deg	I/Imax
32.7	100
28.9	34
31.6	31
30.6	20
23.9	13
35.2	13
42.6	12
40.6	12
27.0	12
62.0	11
29.3	11
53.6	11

abc: 8.504 8.504 7.155
angles: 90.00 90.00 93.16
Fractional coordinates of all 20 atoms:
Ce (0.245, 0.755, 0.500)
Ce (0.755, 0.245, 0.000)
Th (0.018, 0.487, 0.798)
Th (0.182, 0.199, 0.064)
Th (0.190, 0.810, 0.001)
Th (0.199, 0.182, 0.564)
Th (0.470, 0.530, 0.867)
Th (0.487, 0.018, 0.298)
Th (0.513, 0.982, 0.798)
Th (0.530, 0.470, 0.367)
Th (0.801, 0.818, 0.064)
Th (0.810, 0.190, 0.501)
Th (0.818, 0.801, 0.564)
Th (0.982, 0.513, 0.298)
Co (0.076, 0.924, 0.315)
Co (0.260, 0.513, 0.167)
Co (0.487, 0.740, 0.167)
Co (0.513, 0.260, 0.667)
Co (0.740, 0.487, 0.667)
Co (0.924, 0.076, 0.815)